Simulated X-ray diffraction stick pattern of Rb2LaFeF6 for Cu Kα (weighted mean of Kα1 and Kα2), from DFT lattice parameters and positions (GGA+U).

Top 10 peaks for 2θ = 10–90°, sorted by position:
2theta  intensity
16.1  21
24.9  62
27.2  100
35.5  52
41.9  16
45.2  48
49.3  18
51.0  17
56.0  24
70.5  14

Structural model:
```
Rb2LaFeF6
1.0
-3.5801 3.5801 4.3147
3.5801 -3.5801 4.3147
3.5801 3.5801 -4.3147
Rb La Fe F
2 1 1 6
Direct
0.2500 0.7500 0.5000
0.7500 0.2500 0.5000
0.0000 0.0000 0.0000
0.5000 0.5000 0.0000
0.2268 0.2268 0.4535
0.2268 0.7732 0.0000
0.2756 0.2756 0.0000
0.7244 0.7244 0.0000
0.7732 0.2268 0.0000
0.7732 0.7732 0.5465
```